PrBPd6: calculated powder diffraction line list (Cu Kα), based on DFT lattice parameters and positions (PBE).

```
data_PrBPd6
_cell_length_a 5.6940
_cell_length_b 5.6940
_cell_length_c 15.0318
_cell_angle_alpha 90.00
_cell_angle_beta 90.00
_cell_angle_gamma 120.00
_space_group_name_H-M_alt 'R -3 m'
_space_group_IT_number 166
_space_group_name_Hall '-R 3 2"'
loop_
_atom_site_label
_atom_site_type_symbol
_atom_site_fract_x
_atom_site_fract_y
_atom_site_fract_z
Pr1 Pr 0.0000 0.0000 0.0000
B1 B 0.0000 0.0000 0.5000
Pd1 Pd 0.0134 0.5067 0.9114
```

The 10 most intense peaks (5° ≤ 2θ ≤ 70°), by angle:
Position (°2θ)  d [Å]  I_rel  h k l
29.89  2.989  37  1 0 4
34.95  2.567  26  0 1 5
35.84  2.505  19  0 0 6
36.29  2.475  11  1 1 3
36.95  2.433  100  0 2 1
38.42  2.343  36  2 0 2
47.70  1.906  23  2 0 5
48.40  1.881  25  1 1 6
58.24  1.584  15  1 2 5
65.58  1.423  24  2 2 0